1.
Starting from a DFT-relaxed cell (GGA-PBE, the Materials Project), the powder X-ray diffraction pattern of ZnB3O9 was computed for copper Kα.
No peak broadening, texture or thermal motion is included.

Principal peaks in the range 2θ = 15–90°, in order of rising 2θ:
15.98°, d 5.545, intensity 1000, (0 1 1)
19.81°, d 4.481, intensity 319, (0 0 2)
24.12°, d 3.690, intensity 414, (2 1 0)
26.12°, d 3.412, intensity 736, (2 1 1)
28.68°, d 3.113, intensity 358, (2 0 2)
32.29°, d 2.773, intensity 351, (0 2 2)
36.55°, d 2.458, intensity 212, (2 0 3)
38.79°, d 2.322, intensity 223, (2 1 3)
40.95°, d 2.204, intensity 209, (1 2 3)
43.00°, d 2.103, intensity 241, (4 0 1)

Structure:
Cell lengths 8.6557, 7.0586, 8.9614 Å; angles 90.00, 90.00, 90.00 degrees
Space group Pnma (No. 62)
Unique sites:
Zn 0.0370 0.2500 0.2237 [4 per cell]
B 0.2011 0.2500 0.6475 [4 per cell]
B 0.2472 0.0669 0.4205 [8 per cell]
O 0.1130 0.0346 0.3381 [8 per cell]
O 0.1265 0.0830 0.8908 [8 per cell]
O 0.1643 0.7500 0.8815 [4 per cell]
O 0.1957 0.2500 0.8205 [4 per cell]
O 0.2130 0.0804 0.5837 [8 per cell]
O 0.2420 0.7500 0.6385 [4 per cell]

***

2.
Starting from a DFT-relaxed cell (GGA-PBE, the Materials Project), the powder X-ray diffraction pattern of BaGaB4H3O10 was computed for copper Kα.
No peak broadening, texture or thermal motion is included.

Principal peaks in the range 2θ = 15–90°, in order of rising 2θ:
18.60°, d 4.771, intensity 523, (-1 1 1)
18.85°, d 4.707, intensity 571, (0 0 2)
24.57°, d 3.624, intensity 536, (1 -2 1)
24.73°, d 3.600, intensity 1000, (2 -1 0)
25.77°, d 3.457, intensity 825, (1 -2 0)
26.52°, d 3.362, intensity 476, (2 -1 1)
26.89°, d 3.316, intensity 521, (1 1 -2)
28.44°, d 3.138, intensity 700, (0 0 3)
30.09°, d 2.970, intensity 538, (1 1 1)
43.54°, d 2.079, intensity 490, (3 -3 1)

Structure:
Cell lengths 7.1996, 7.2505, 10.0361 Å; angles 107.42, 90.25, 119.52 degrees
Space group P-1 (No. 2)
Unique sites:
Ba 0.0801 0.2999 0.2065 [2 per cell]
Ga 0.3930 0.9114 0.1201 [2 per cell]
B 0.0631 0.2537 0.8576 [2 per cell]
B 0.3018 0.5992 0.7958 [2 per cell]
B 0.3763 0.7586 0.5923 [2 per cell]
B 0.4385 0.3638 0.8461 [2 per cell]
H 0.1664 0.3177 0.5229 [2 per cell]
H 0.1862 0.1054 0.4372 [2 per cell]
H 0.3773 0.8247 0.4104 [2 per cell]
O 0.0911 0.4332 0.8237 [2 per cell]
O 0.1120 0.1862 0.4331 [2 per cell]
O 0.1187 0.8876 0.1010 [2 per cell]
O 0.2299 0.2043 0.8568 [2 per cell]
O 0.2545 0.5904 0.6490 [2 per cell]
O 0.3119 0.6956 0.4465 [2 per cell]
O 0.3671 0.8239 0.8985 [2 per cell]
O 0.3849 0.6492 0.1235 [2 per cell]
O 0.4569 0.0310 0.3305 [2 per cell]
O 0.4703 0.5423 0.8070 [2 per cell]